Computed X-ray diffraction stick pattern
Compound: LiCo2O4
Radiation: a wavelength of 1.5418 Å
Structure: a DFT-relaxed cell (GGA+U, the Materials Project)
No peak broadening, texture or thermal motion is included.

Structure:
abc: 2.8681 5.0436 5.0714
angles: 71.27 89.74 88.53
Space group P-1 (No. 2)
Unique sites:
1 Li 0.0000 0.0000 0.0000 x1
2 Co 0.0000 0.5000 0.5000 x1
3 Co 0.5000 0.0000 0.5000 x1
4 O 0.0130 0.7861 0.7058 x2
5 O 0.4813 0.2439 0.7132 x2

Principal peaks in the range 10 to 90 degrees two-theta, low angle first:
2θ/deg  I/Imax
18.47  100
36.13  12
36.24  12
36.98  11
43.65  19
44.07  18
44.49  18
57.56  6
58.17  5
58.35  5
63.44  5
65.06  10